1.
Starting from the GGA-PBE geometry in the Materials Project, the powder diffractogram of CdBr6N4 was simulated for Cu Ka.
Intensities are scaled so that the largest is 1000.

Top 8 peaks for 10° ≤ 2θ ≤ 80°, sorted by position:
| two_theta | I/Imax | (hkl) |
| --- | --- | --- |
| 15.99 | 274 | 0 1 2 |
| 26.35 | 1000 | 2 2 0 |
| 29.39 | 184 | 1 0 4 |
| 32.30 | 176 | 0 2 4 |
| 34.98 | 199 | 2 1 4 |
| 36.34 | 184 | 2 3 2 |
| 44.32 | 149 | 3 2 4 |
| 46.50 | 145 | 6 0 0 |

Atomic structure:
abc: 13.5303 13.5303 12.5853
angles: 90.00 90.00 120.00
Space group R-3c (No. 167, hexagonal axes)
Asymmetric unit:
Cd1 0.0000 0.0000 0.0000
Br1 0.0236 0.5006 0.1301
N1 0.0000 0.0000 0.2500
N2 0.0000 0.4086 0.2500

2.
Starting from the GGA-PBE geometry in the Materials Project, the powder diffractogram of CdBr6N4 was simulated for Cu Ka.
Intensities are scaled so that the largest is 1000.

Top 8 peaks for 10° ≤ 2θ ≤ 80°, sorted by position:
| two_theta | I/Imax | (hkl) |
| --- | --- | --- |
| 22.58 | 1000 | 1 3 1 |
| 22.99 | 579 | 0 1 2 |
| 24.99 | 623 | 4 1 0 |
| 26.29 | 504 | 3 2 1 |
| 32.83 | 390 | 2 3 2 |
| 42.46 | 444 | 4 1 3 |
| 44.01 | 343 | 6 3 0 |
| 51.23 | 384 | 7 2 2 |

Atomic structure:
abc: 18.8564 18.8564 7.9635
angles: 90.00 90.00 120.00
Space group R-3c (No. 167, hexagonal axes)
Asymmetric unit:
Cd1 0.0000 0.0000 0.0000
Br1 0.0716 0.2537 0.4748
N1 0.0000 0.0000 0.2500
N2 0.0000 0.3895 0.2500

3.
Starting from the GGA-PBE geometry in the Materials Project, the powder diffractogram of CdBr2O4 was simulated for Cu Ka.
Intensities are scaled so that the largest is 1000.

Top 8 peaks for 10° ≤ 2θ ≤ 80°, sorted by position:
| two_theta | I/Imax | (hkl) |
| --- | --- | --- |
| 15.39 | 548 | 1 1 0 |
| 19.96 | 378 | 0 2 0 |
| 26.62 | 443 | 1 0 1 |
| 28.48 | 350 | 1 1 1 |
| 33.49 | 287 | 1 2 1 |
| 35.26 | 1000 | 2 1 1 |
| 37.10 | 250 | 3 1 0 |
| 47.42 | 362 | 2 4 0 |

Atomic structure:
abc: 7.5549 8.8981 3.7356
angles: 90.00 90.00 90.00
Space group Pnnm (No. 58)
Asymmetric unit:
Cd1 0.0000 0.0000 0.0000
Br1 0.2215 0.3924 0.0000
O1 0.2227 0.1526 0.0000
O2 0.2239 0.6139 0.0000